Starting from a DFT-relaxed cell (PBE, Alexandria), the XRD peak list of La3Sm3Ag2 was calculated for copper Kα.

Structure:
Cell lengths 6.5374, 6.5374, 16.0727 Å; angles 90.00, 90.00, 132.72 degrees
Element x y z (fractional)
1 La 0.0440 0.9560 0.6105
2 La 0.0440 0.9560 0.8895
3 La 0.3088 0.6912 0.7500
4 La 0.6912 0.3088 0.2500
5 La 0.9560 0.0440 0.1105
6 La 0.9560 0.0440 0.3895
7 Sm 0.3582 0.6418 0.5304
8 Sm 0.3582 0.6418 0.9696
9 Sm 0.4136 0.5864 0.2500
10 Sm 0.5864 0.4136 0.7500
11 Sm 0.6418 0.3582 0.0304
12 Sm 0.6418 0.3582 0.4696
13 Ag 0.2243 0.7757 0.1236
14 Ag 0.2243 0.7757 0.3764
15 Ag 0.7757 0.2243 0.6236
16 Ag 0.7757 0.2243 0.8764

Peak list (6 most intense, 2θ from 10° to 80°, low angle first)
2θ/deg	I (rel.)
28.1	35
29.0	100
30.4	36
32.8	75
33.5	31
34.2	54